Computed powder diffractogram
Compound: BaCaNi4O8
Radiation: Cu Ka
Structure: a structure optimized by DFT (GGA+U)
Intensities are scaled so that the largest is 100.

Main lines, low angle first (2θ = 15–90°):
(hkl)  two_theta  I_rel
1 0 2  29.74  100
1 1 0  33.47  78
2 -1 1  35.41  26
2 0 2  45.37  30
3 -1 2  57.54  29
2 -1 4  58.10  33
3 0 0  59.83  23
3 0 4  78.65  14

Atomic structure:
```
BaCaNi4O8
1.0
5.355 0.000 0.000
-2.677 4.637 0.000
0.000 0.000 7.888
Ba Ca Ni O
1 1 4 8
direct
0.000 0.000 0.000
0.000 0.000 0.500
0.333 0.667 0.233
0.333 0.667 0.767
0.667 0.333 0.233
0.667 0.333 0.767
0.000 0.335 0.304
0.000 0.665 0.696
0.333 0.667 0.000
0.335 0.000 0.304
0.335 0.335 0.696
0.665 0.000 0.696
0.665 0.665 0.304
0.667 0.333 0.000
```